Record 1
The following is a computed PXRD pattern of RbCu2Br3. It was derived from the PBE geometry in Alexandria, using CuKα.
Intensities are scaled so that the largest is 100.

Structural model:
Cell: 23.0723 4.1894 7.4109 Å, 90.00 95.94 90.00°
Space group C2/m (No. 12)
Inequivalent atoms, fractional coordinates:
1 Rb 0.1252 0.0000 0.4610 x4
2 Cu 0.0546 0.5000 0.9771 x4
3 Cu 0.2181 0.0000 0.0376 x4
4 Br 0.0236 0.5000 0.2808 x4
5 Br 0.1131 0.0000 0.9306 x4
6 Br 0.2322 0.5000 0.2452 x4

The 12 most intense peaks (2θ from 10° to 90°), low angle first:
| 2θ/deg | Rel. int. | index |
| --- | --- | --- |
| 12.01 | 56 | 0 0 1 |
| 24.22 | 100 | 3 1 0 |
| 24.56 | 34 | 1 1 -1 |
| 27.37 | 88 | 4 0 -2 |
| 28.85 | 33 | 5 1 0 |
| 32.15 | 26 | 5 1 1 |
| 33.57 | 25 | 3 1 -2 |
| 43.21 | 74 | 0 2 0 |
| 44.41 | 26 | 9 1 1 |
| 46.52 | 27 | 9 1 -2 |
| 50.53 | 26 | 9 1 2 |
| 51.89 | 29 | 4 2 -2 |

***

Record 2
The following is a computed PXRD pattern of AlCuGeSe4. It was derived from the PBE geometry in Alexandria, using CuKα.
Intensities are scaled so that the largest is 100.

Structural model:
Cell: 5.5779 5.5779 10.8331 Å, 90.00 90.00 90.00°
Space group I-4 (No. 82)
Inequivalent atoms, fractional coordinates:
1 Al 0.0000 0.0000 0.0000 x2
2 Cu 0.0000 0.5000 0.7500 x2
3 Ge 0.0000 0.5000 0.2500 x2
4 Se 0.2361 0.2393 0.3821 x8

The 12 most intense peaks (2θ from 10° to 90°), low angle first:
| 2θ/deg | Rel. int. | index |
| --- | --- | --- |
| 22.54 | 9 | 1 1 0 |
| 27.98 | 100 | 1 1 2 |
| 36.23 | 8 | 2 0 2 |
| 46.02 | 23 | 2 2 0 |
| 46.75 | 43 | 2 0 4 |
| 54.73 | 28 | 3 1 2 |
| 56.02 | 13 | 1 1 6 |
| 67.12 | 7 | 4 0 0 |
| 74.23 | 5 | 3 3 2 |
| 75.33 | 10 | 3 1 6 |
| 85.76 | 14 | 4 2 4 |
| 87.36 | 6 | 2 2 8 |